Record 1
Simulated powder diffractogram
Compound: HoSiPd2
Radiation: copper Kα
Structure: a GGA-PBE-relaxed structure
Intensities are scaled so that the largest is 100.

Top 10 peaks for 10° ≤ 2θ ≤ 90°, most intense first:
Position (°2θ)	d (Å)	intensity	h k l
37.0	2.429	100	1 1 2
35.5	2.529	92	2 2 0
32.7	2.739	76	1 2 1
31.9	2.802	74	2 1 1
40.3	2.238	72	3 0 1
64.7	1.441	58	3 3 2
34.6	2.591	52	1 0 2
39.2	2.301	42	2 2 1
44.0	2.059	39	1 3 1
42.1	2.145	35	0 3 1

Structural model:
a b c (Å): 7.341 6.980 5.539
angles (deg): 90.00 90.00 90.00
Positions (direct):
Ho (0.028, 0.250, 0.144)
Ho (0.472, 0.750, 0.644)
Ho (0.528, 0.250, 0.356)
Ho (0.972, 0.750, 0.856)
Si (0.123, 0.750, 0.355)
Si (0.377, 0.250, 0.855)
Si (0.623, 0.750, 0.145)
Si (0.877, 0.250, 0.645)
Pd (0.177, 0.051, 0.594)
Pd (0.177, 0.449, 0.594)
Pd (0.323, 0.551, 0.094)
Pd (0.323, 0.949, 0.094)
Pd (0.677, 0.051, 0.906)
Pd (0.677, 0.449, 0.906)
Pd (0.823, 0.551, 0.406)
Pd (0.823, 0.949, 0.406)

Record 2
Simulated powder diffractogram
Compound: HoSnPd
Radiation: copper Kα
Structure: a GGA-PBE-relaxed structure
Intensities are scaled so that the largest is 100.

Top 10 peaks for 10° ≤ 2θ ≤ 90°, most intense first:
Position (°2θ)	d (Å)	intensity	h k l
33.5	2.675	100	2 1 1
39.0	2.312	72	0 2 0
32.1	2.789	27	1 1 2
52.3	1.749	22	2 2 2
63.9	1.457	15	3 1 4
39.2	2.296	15	3 0 1
56.5	1.630	10	3 2 1
67.0	1.396	10	2 3 1
65.8	1.419	10	4 2 0
72.8	1.299	10	5 1 2

Structural model:
a b c (Å): 7.189 4.629 7.996
angles (deg): 90.00 90.00 90.00
Positions (direct):
Ho (0.009, 0.250, 0.207)
Ho (0.491, 0.750, 0.707)
Ho (0.509, 0.250, 0.293)
Ho (0.991, 0.750, 0.793)
Sn (0.196, 0.250, 0.587)
Sn (0.304, 0.750, 0.087)
Sn (0.696, 0.250, 0.913)
Sn (0.804, 0.750, 0.413)
Pd (0.206, 0.750, 0.415)
Pd (0.294, 0.250, 0.915)
Pd (0.706, 0.750, 0.085)
Pd (0.794, 0.250, 0.585)

Record 3
Simulated powder diffractogram
Compound: HoTlPd
Radiation: copper Kα
Structure: a GGA-PBE-relaxed structure
Intensities are scaled so that the largest is 100.

Top 10 peaks for 10° ≤ 2θ ≤ 90°, most intense first:
Position (°2θ)	d (Å)	intensity	h k l
32.9	2.721	100	1 1 1
35.5	2.527	60	2 0 1
34.8	2.576	47	2 1 0
39.7	2.272	41	3 0 0
64.5	1.444	31	3 2 1
42.5	2.126	20	2 1 1
64.2	1.450	20	3 0 2
60.9	1.520	19	2 1 2
48.3	1.884	18	0 0 2
48.1	1.890	10	3 1 0

Structural model:
a b c (Å): 7.870 7.870 3.767
angles (deg): 90.00 90.00 120.00
Positions (direct):
Ho (0.000, 0.401, 0.000)
Ho (0.401, 0.000, 0.000)
Ho (0.599, 0.599, 0.000)
Tl (0.000, 0.732, 0.500)
Tl (0.268, 0.268, 0.500)
Tl (0.732, 0.000, 0.500)
Pd (0.000, 0.000, 0.000)
Pd (0.333, 0.667, 0.500)
Pd (0.667, 0.333, 0.500)

Record 4
Simulated powder diffractogram
Compound: HoZnPd2
Radiation: copper Kα
Structure: a GGA-PBE-relaxed structure
Intensities are scaled so that the largest is 100.

Top 9 peaks for 10° ≤ 2θ ≤ 90°, most intense first:
Position (°2θ)	d (Å)	intensity	h k l
38.6	2.335	100	2 2 0
69.8	1.348	34	4 2 2
55.7	1.651	17	4 0 0
82.7	1.167	11	4 4 0
23.3	3.812	10	1 1 1
45.6	1.991	5	3 1 1
61.2	1.515	2	3 3 1
87.4	1.116	2	5 3 1
74.7	1.271	2	5 1 1

Structural model:
a b c (Å): 6.603 6.603 6.603
angles (deg): 90.00 90.00 90.00
Positions (direct):
Ho (0.000, 0.000, 0.000)
Ho (0.000, 0.500, 0.500)
Ho (0.500, 0.000, 0.500)
Ho (0.500, 0.500, 0.000)
Zn (0.000, 0.000, 0.500)
Zn (0.000, 0.500, 0.000)
Zn (0.500, 0.000, 0.000)
Zn (0.500, 0.500, 0.500)
Pd (0.250, 0.250, 0.250)
Pd (0.250, 0.250, 0.750)
Pd (0.250, 0.750, 0.250)
Pd (0.250, 0.750, 0.750)
Pd (0.750, 0.250, 0.250)
Pd (0.750, 0.250, 0.750)
Pd (0.750, 0.750, 0.250)
Pd (0.750, 0.750, 0.750)

Record 5
Simulated powder diffractogram
Compound: Ho2ZnPd
Radiation: copper Kα
Structure: a GGA-PBE-relaxed structure
Intensities are scaled so that the largest is 100.

Top 10 peaks for 10° ≤ 2θ ≤ 90°, most intense first:
Position (°2θ)	d (Å)	intensity	h k l
36.2	2.483	100	2 2 0
65.1	1.434	36	4 2 2
52.1	1.756	18	4 0 0
87.9	1.110	16	6 2 0
76.8	1.242	11	4 4 0
25.4	3.512	10	2 0 0
58.8	1.570	4	4 2 0
44.7	2.027	3	2 2 2
82.4	1.171	2	6 0 0
21.9	4.055	1	1 1 1

Structural model:
a b c (Å): 7.023 7.023 7.023
angles (deg): 90.00 90.00 90.00
Positions (direct):
Ho (0.250, 0.250, 0.250)
Ho (0.250, 0.250, 0.750)
Ho (0.250, 0.750, 0.250)
Ho (0.250, 0.750, 0.750)
Ho (0.750, 0.250, 0.250)
Ho (0.750, 0.250, 0.750)
Ho (0.750, 0.750, 0.250)
Ho (0.750, 0.750, 0.750)
Zn (0.000, 0.000, 0.000)
Zn (0.000, 0.500, 0.500)
Zn (0.500, 0.000, 0.500)
Zn (0.500, 0.500, 0.000)
Pd (0.000, 0.000, 0.500)
Pd (0.000, 0.500, 0.000)
Pd (0.500, 0.000, 0.000)
Pd (0.500, 0.500, 0.500)

Record 6
Simulated powder diffractogram
Compound: HoZnPd
Radiation: copper Kα
Structure: a GGA-PBE-relaxed structure
Intensities are scaled so that the largest is 100.

Top 10 peaks for 10° ≤ 2θ ≤ 90°, most intense first:
Position (°2θ)	d (Å)	intensity	h k l
33.9	2.642	100	1 1 1
36.9	2.437	90	2 0 1
37.7	2.386	37	2 1 0
43.0	2.104	36	3 0 0
69.4	1.355	27	3 2 1
47.4	1.918	24	0 0 2
44.7	2.026	21	2 1 1
57.9	1.593	20	3 1 1
65.9	1.417	20	3 0 2
62.1	1.495	17	2 1 2

Structural model:
a b c (Å): 7.289 7.289 3.836
angles (deg): 90.00 90.00 120.00
Positions (direct):
Ho (0.000, 0.595, 0.000)
Ho (0.405, 0.405, 0.000)
Ho (0.595, 0.000, 0.000)
Zn (0.000, 0.251, 0.500)
Zn (0.251, 0.000, 0.500)
Zn (0.749, 0.749, 0.500)
Pd (0.000, 0.000, 0.000)
Pd (0.333, 0.667, 0.500)
Pd (0.667, 0.333, 0.500)

Record 7
Simulated powder diffractogram
Compound: PmHo3
Radiation: copper Kα
Structure: a GGA-PBE-relaxed structure
Intensities are scaled so that the largest is 100.

Top 10 peaks for 10° ≤ 2θ ≤ 90°, most intense first:
Position (°2θ)	d (Å)	intensity	h k l
30.8	2.907	100	1 1 2
51.3	1.780	36	2 2 0
35.7	2.514	34	2 0 0
61.1	1.517	29	3 1 2
35.6	2.523	17	0 0 4
60.9	1.520	14	1 1 6
64.1	1.453	12	2 2 4
83.7	1.156	12	3 1 6
86.5	1.125	11	4 2 0
83.8	1.154	6	3 3 2

Structural model:
a b c (Å): 5.029 5.029 10.092
angles (deg): 90.00 90.00 90.00
Positions (direct):
Pm (0.000, 0.000, 0.000)
Pm (0.500, 0.500, 0.500)
Ho (0.000, 0.000, 0.500)
Ho (0.000, 0.500, 0.250)
Ho (0.000, 0.500, 0.750)
Ho (0.500, 0.000, 0.250)
Ho (0.500, 0.000, 0.750)
Ho (0.500, 0.500, 0.000)

Record 8
Simulated powder diffractogram
Compound: PmHo3
Radiation: copper Kα
Structure: a GGA-PBE-relaxed structure
Intensities are scaled so that the largest is 100.

Top 8 peaks for 10° ≤ 2θ ≤ 90°, most intense first:
Position (°2θ)	d (Å)	intensity	h k l
30.8	2.902	100	1 1 1
35.7	2.513	51	2 0 0
61.2	1.515	43	3 1 1
51.4	1.777	36	2 2 0
83.9	1.153	18	3 3 1
86.6	1.124	17	4 2 0
64.2	1.451	12	2 2 2
75.7	1.256	6	4 0 0

Structural model:
a b c (Å): 5.026 5.026 5.026
angles (deg): 90.00 90.00 90.00
Positions (direct):
Pm (0.000, 0.000, 0.000)
Ho (0.000, 0.500, 0.500)
Ho (0.500, 0.000, 0.500)
Ho (0.500, 0.500, 0.000)

- What is the formula in the eighth record?
  PmHo3

Copy entry 4 word for word.
Simulated powder diffractogram
Compound: HoZnPd2
Radiation: copper Kα
Structure: a GGA-PBE-relaxed structure
Intensities are scaled so that the largest is 100.

Top 9 peaks for 10° ≤ 2θ ≤ 90°, most intense first:
Position (°2θ)	d (Å)	intensity	h k l
38.6	2.335	100	2 2 0
69.8	1.348	34	4 2 2
55.7	1.651	17	4 0 0
82.7	1.167	11	4 4 0
23.3	3.812	10	1 1 1
45.6	1.991	5	3 1 1
61.2	1.515	2	3 3 1
87.4	1.116	2	5 3 1
74.7	1.271	2	5 1 1

Structural model:
a b c (Å): 6.603 6.603 6.603
angles (deg): 90.00 90.00 90.00
Positions (direct):
Ho (0.000, 0.000, 0.000)
Ho (0.000, 0.500, 0.500)
Ho (0.500, 0.000, 0.500)
Ho (0.500, 0.500, 0.000)
Zn (0.000, 0.000, 0.500)
Zn (0.000, 0.500, 0.000)
Zn (0.500, 0.000, 0.000)
Zn (0.500, 0.500, 0.500)
Pd (0.250, 0.250, 0.250)
Pd (0.250, 0.250, 0.750)
Pd (0.250, 0.750, 0.250)
Pd (0.250, 0.750, 0.750)
Pd (0.750, 0.250, 0.250)
Pd (0.750, 0.250, 0.750)
Pd (0.750, 0.750, 0.250)
Pd (0.750, 0.750, 0.750)